No. 1
Diffraction record for SrAlGaAu2. The powder XRD pattern is computed, not measured: it uses a cell relaxed with PBE and a wavelength of 1.5418 Å.

Cell and atoms:
a = 4.417 Å, b = 4.417 Å, c = 11.377 Å
α = 90.00°, β = 90.00°, γ = 90.00°
Space group I-4m2 (No. 119)
Unique sites:
Sr 0.000 0.000 0.000
Al 0.000 0.500 0.250
Ga 0.000 0.500 0.750
Au 0.000 0.000 0.374

Main lines, in order of rising 2θ (10 to 90 degrees two-theta):
two_theta, I/Imax
21.58, 651
28.58, 645
31.08, 1000
40.87, 584
43.01, 496
52.22, 472

***

No. 2
Diffraction record for Sr2Al3Ga4Au. The powder XRD pattern is computed, not measured: it uses a cell relaxed with PBE and a wavelength of 1.5418 Å.

Cell and atoms:
a = 4.418 Å, b = 4.418 Å, c = 11.083 Å
α = 90.00°, β = 90.00°, γ = 90.00°
Space group P-4m2 (No. 115)
Unique sites:
Sr 0.000 0.500 0.250
Al 0.000 0.000 0.000
Al 0.000 0.500 0.633
Ga 0.000 0.000 0.500
Ga 0.000 0.500 0.865
Ga 0.500 0.500 0.500
Au 0.500 0.500 0.000

Main lines, in order of rising 2θ (10 to 90 degrees two-theta):
two_theta, I/Imax
21.65, 247
31.57, 386
32.91, 1000
40.85, 471
43.67, 212
69.37, 228

***

No. 3
Diffraction record for Sr2AlGa2Au4. The powder XRD pattern is computed, not measured: it uses a cell relaxed with PBE and a wavelength of 1.5418 Å.

Cell and atoms:
a = 6.866 Å, b = 6.866 Å, c = 8.780 Å
α = 90.00°, β = 90.00°, γ = 90.00°
Space group I4/mmm (No. 139)
Unique sites:
Sr 0.000 0.500 0.250
Al 0.000 0.000 0.000
Ga 0.000 0.000 0.322
Au 0.234 0.234 0.500

Main lines, in order of rising 2θ (10 to 90 degrees two-theta):
two_theta, I/Imax
20.23, 240
25.96, 157
33.13, 1000
37.03, 443
56.52, 185
64.28, 266

***

No. 4
Diffraction record for ThAl2GaAu4. The powder XRD pattern is computed, not measured: it uses a cell relaxed with PBE and a wavelength of 1.5418 Å.

Cell and atoms:
a = 4.4080 Å, b = 4.4080 Å, c = 28.1437 Å
α = 90.00°, β = 90.00°, γ = 120.00°
Space group R-3m (No. 166, hexagonal axes)
Unique sites:
Th 0.0000 0.0000 0.0000
Al 0.0000 0.0000 0.2442
Ga 0.0000 0.0000 0.5000
Au 0.0000 0.0000 0.1258
Au 0.0000 0.0000 0.3955

Main lines, in order of rising 2θ (10 to 90 degrees two-theta):
two_theta, I/Imax
24.16, 315
26.57, 330
32.34, 296
34.68, 1000
39.79, 283
40.95, 925

***

No. 5
Diffraction record for ThAlGa2Au. The powder XRD pattern is computed, not measured: it uses a cell relaxed with PBE and a wavelength of 1.5418 Å.

Cell and atoms:
a = 6.181 Å, b = 9.003 Å, c = 8.356 Å
α = 90.00°, β = 90.00°, γ = 90.00°
Space group Cmme (No. 67)
Unique sites:
Th 0.000 0.250 0.206
Al 0.000 0.000 0.500
Ga 0.000 0.113 0.776
Au 0.250 0.000 0.000

Main lines, in order of rising 2θ (10 to 90 degrees two-theta):
two_theta, I/Imax
10.59, 1000
29.16, 494
34.93, 456
35.22, 269
36.15, 456
36.88, 275

***

No. 6
Diffraction record for GdAl7Au3. The powder XRD pattern is computed, not measured: it uses a cell relaxed with PBE and a wavelength of 1.5418 Å.

Cell and atoms:
a = 8.1149 Å, b = 8.1149 Å, c = 21.1625 Å
α = 90.00°, β = 90.00°, γ = 120.00°
Space group R-3c (No. 167, hexagonal axes)
Unique sites:
Gd 0.0000 0.0000 0.0000
Al 0.0000 0.0000 0.2500
Al 0.0108 0.2065 0.1366
Au 0.0000 0.3224 0.2500

Main lines, in order of rising 2θ (10 to 90 degrees two-theta):
two_theta, I/Imax
25.32, 1000
33.67, 344
38.43, 373
44.54, 310
46.56, 436
66.35, 175